Structure and theoretical X-ray powder pattern of Ho3Pd12Pb (a structure optimized by DFT (PBE); CuKα).

Unit cell a=4.113 b=4.113 c=16.446 alpha=90.00 beta=90.00 gamma=90.00
Space group P4/mmm (No. 123)
Asymmetric unit:
Ho  0.000  0.000  0.000 [1 per cell]
Ho  0.000  0.000  0.249 [2 per cell]
Pd  0.000  0.500  0.125 [4 per cell]
Pd  0.000  0.500  0.375 [4 per cell]
Pd  0.500  0.500  0.000 [1 per cell]
Pd  0.500  0.500  0.252 [2 per cell]
Pd  0.500  0.500  0.500 [1 per cell]
Pb  0.000  0.000  0.500 [1 per cell]

Largest 6 diffraction maxima, in order of rising 2θ, 2θ from 10° to 90°:
two_theta, Rel. int., (hkl)
21.61, 5, 1 0 0
37.89, 100, 1 1 4
44.04, 49, 2 0 0
64.04, 32, 2 2 0
76.88, 37, 3 1 4
80.99, 11, 2 2 8